[1]
Computed powder XRD pattern
Compound: RbBi3Pd3
Radiation: Cu Ka
Structure: a structure optimized by DFT (GGA-PBE)
No peak broadening, texture or thermal motion is included.

Cell and atoms:
```
data_RbBi3Pd3
_chemical_formula_sum 'Rb6 Bi18 Pd18'
_cell_length_a 7.7304
_cell_length_b 7.7304
_cell_length_c 26.2048
_cell_angle_alpha 90.00
_cell_angle_beta 90.00
_cell_angle_gamma 120.00
_symmetry_space_group_name_H-M 'R -3'
_symmetry_Int_Tables_number 148
_symmetry_space_group_name_Hall '-R 3'
loop_
_atom_site_label
_atom_site_type_symbol
_atom_site_fract_x
_atom_site_fract_y
_atom_site_fract_z
Rb1 Rb 0.0000 0.0000 0.1574
Bi1 Bi 0.0121 0.3906 0.0638
Pd1 Pd 0.0069 0.2843 0.9631
```

Most intense lines, 10° ≤ 2θ ≤ 90°, in order of falling intensity:
(hkl), d [Å], I/Imax
0 0 3, 8.735, 100.0
1 1 3, 3.535, 84.7
1 1 9, 2.326, 41.8
3 0 0, 2.232, 41.4
1 1 0, 3.865, 36.0
0 0 9, 2.912, 32.2
1 1 12, 1.901, 32.2
0 3 9, 1.771, 24.4
2 -1 6, 2.894, 22.9
3 -1 4, 2.360, 22.7

---

[2]
Computed powder XRD pattern
Compound: RbBi6Pd6
Radiation: Cu Ka
Structure: a structure optimized by DFT (GGA-PBE)
No peak broadening, texture or thermal motion is included.

Cell and atoms:
```
data_RbBi6Pd6
_chemical_formula_sum 'Rb2 Bi12 Pd12'
_cell_length_a 6.017
_cell_length_b 9.599
_cell_length_c 10.355
_cell_angle_alpha 90.00
_cell_angle_beta 90.00
_cell_angle_gamma 90.00
_symmetry_space_group_name_H-M 'I m m m'
_symmetry_Int_Tables_number 71
_symmetry_space_group_name_Hall '-I 2 2'
loop_
_atom_site_label
_atom_site_type_symbol
_atom_site_fract_x
_atom_site_fract_y
_atom_site_fract_z
Rb1 Rb 0.000 0.000 0.000
Bi1 Bi 0.000 0.000 0.340
Bi2 Bi 0.000 0.340 0.000
Bi3 Bi 0.000 0.500 0.326
Pd1 Pd 0.000 0.252 0.500
Pd2 Pd 0.250 0.250 0.250
```

Most intense lines, 10° ≤ 2θ ≤ 90°, in order of falling intensity:
(hkl), d [Å], I/Imax
2 2 2, 2.287, 100.0
1 0 3, 2.994, 94.4
1 2 3, 2.540, 90.0
0 4 2, 2.178, 63.3
2 6 0, 1.411, 58.4
2 0 0, 3.009, 48.4
0 2 4, 2.278, 47.8
2 2 0, 2.549, 46.1
2 0 6, 1.497, 37.9
0 4 0, 2.400, 36.2

---

[3]
Computed powder XRD pattern
Compound: RbBi6Pd12
Radiation: Cu Ka
Structure: a structure optimized by DFT (GGA-PBE)
No peak broadening, texture or thermal motion is included.

Cell and atoms:
```
data_RbBi6Pd12
_chemical_formula_sum 'Rb3 Bi18 Pd36'
_cell_length_a 12.3720
_cell_length_b 12.3720
_cell_length_c 9.7564
_cell_angle_alpha 90.00
_cell_angle_beta 90.00
_cell_angle_gamma 120.00
_symmetry_space_group_name_H-M 'R -3 m'
_symmetry_Int_Tables_number 166
_symmetry_space_group_name_Hall '-R 3 2"'
loop_
_atom_site_label
_atom_site_type_symbol
_atom_site_fract_x
_atom_site_fract_y
_atom_site_fract_z
Rb1 Rb 0.0000 0.0000 0.0000
Bi1 Bi 0.0555 0.5277 0.2675
Pd1 Pd 0.0000 0.3822 0.5000
Pd2 Pd 0.1010 0.2019 0.3138
```

Most intense lines, 10° ≤ 2θ ≤ 90°, in order of falling intensity:
(hkl), d [Å], I/Imax
3 2 1, 2.383, 100.0
0 3 3, 2.405, 93.7
0 2 4, 2.220, 61.8
1 1 0, 6.186, 59.4
2 1 1, 3.740, 44.6
5 0 2, 1.962, 42.7
2 7 1, 1.297, 40.0
1 3 1, 2.843, 31.8
3 3 0, 2.062, 31.0
1 2 2, 3.116, 30.3